This entry pairs a crystal structure of AlCrRhO6 with its simulated powder diffraction line list. Radiation: Cu Kα (weighted mean of Kα1 and Kα2). Structure: a GGA+U-relaxed structure.
No peak broadening, texture or thermal motion is included.

Crystal structure
```
data_AlCrRhO6
_chemical_formula_sum 'Al2 Cr2 Rh2 O12'
_space_group_name_H-M_alt 'P 1'
_space_group_IT_number 1
_cell_length_a 4.492
_cell_length_b 4.492
_cell_length_c 8.944
_cell_angle_alpha 90.00
_cell_angle_beta 90.00
_cell_angle_gamma 90.00
loop_
_space_group_symop_operation_xyz
'x,y,z'
loop_
_atom_site_label
_atom_site_fract_x
_atom_site_fract_y
_atom_site_fract_z
Al1 0.000 0.000 0.000
Al2 0.500 0.500 0.500
Cr1 0.000 0.000 0.668
Cr2 0.500 0.500 0.168
Rh1 0.000 0.000 0.333
Rh2 0.500 0.500 0.833
O1 0.193 0.193 0.836
O2 0.197 0.197 0.162
O3 0.201 0.201 0.504
O4 0.299 0.701 0.004
O5 0.303 0.697 0.662
O6 0.307 0.693 0.336
O7 0.693 0.307 0.336
O8 0.697 0.303 0.662
O9 0.701 0.299 0.004
O10 0.799 0.799 0.504
O11 0.803 0.803 0.162
O12 0.807 0.807 0.836
```

Principal peaks in the range 2θ = 10–80°, by intensity:
Position (°2θ)	I_rel	index
28.09	100	1 1 0
55.13	62	2 1 3
36.16	61	1 0 3
22.15	40	1 0 1
70.36	21	3 0 3
58.08	17	2 2 0
34.64	14	1 1 2
69.68	13	1 1 6
19.85	13	0 0 2
46.32	12	2 1 1